For Na3Hf2Si2PO12, a structure optimized by DFT (PBE) gives the calculated powder XRD pattern in this record (Cu Kα, 1.54184 Å).
Peak positions follow from Bragg's law for the DFT cell and can differ from measured ones.

Structural model:
Cell lengths 15.8602, 9.1183, 9.1200 Å; angles 90.00, 124.82, 90.00 degrees
Space group Cc (No. 9)
Symmetry-distinct sites (fractional):
Na (0.0000, 0.0648, 0.0000) (multiplicity 4)
Na (0.1953, 0.3945, 0.5405) (multiplicity 4)
Na (0.4348, 0.2245, 0.7846) (multiplicity 4)
Hf (0.0877, 0.2552, 0.7249) (multiplicity 4)
Hf (0.2978, 0.2500, 0.3506) (multiplicity 4)
Si (0.0471, 0.3957, 0.0476) (multiplicity 4)
Si (0.3409, 0.3953, 0.0332) (multiplicity 4)
P (0.1933, 0.0404, 0.5356) (multiplicity 4)
O (0.0438, 0.4245, 0.5439) (multiplicity 4)
O (0.0528, 0.3442, 0.8802) (multiplicity 4)
O (0.1156, 0.1365, 0.5458) (multiplicity 4)
O (0.1288, 0.0522, 0.8632) (multiplicity 4)
O (0.1530, 0.3350, 0.2297) (multiplicity 4)
O (0.2349, 0.3326, 0.8540) (multiplicity 4)
O (0.2526, 0.0614, 0.1994) (multiplicity 4)
O (0.2702, 0.1433, 0.5331) (multiplicity 4)
O (0.3411, 0.3557, 0.2101) (multiplicity 4)
O (0.3446, 0.4231, 0.5320) (multiplicity 4)
O (0.4421, 0.3371, 0.0444) (multiplicity 4)
O (0.4488, 0.1799, 0.5315) (multiplicity 4)

Largest 8 diffraction maxima, low angle first, 10° ≤ 2θ ≤ 90°:
2θ = 19.4°, rel. 100
2θ = 19.5°, rel. 45
2θ = 27.7°, rel. 23
2θ = 30.9°, rel. 19
2θ = 31.0°, rel. 18
2θ = 33.9°, rel. 22
2θ = 34.0°, rel. 32
2θ = 53.1°, rel. 18